Diffraction record for Er2CuRu. The X-ray diffraction stick pattern is theoretical, not measured: it uses a structure optimized by DFT (GGA-PBE) and CuKα.
Peak positions follow from Bragg's law for the DFT cell and can differ from measured ones.

Most intense lines, 10 to 90 degrees two-theta, in order of rising 2θ:
| 2θ/deg | d_spacing | I (rel.) |
| --- | --- | --- |
| 26.18 | 3.404 | 12 |
| 37.36 | 2.407 | 100 |
| 53.87 | 1.702 | 17 |
| 60.85 | 1.522 | 5 |
| 67.39 | 1.390 | 35 |
| 79.67 | 1.203 | 11 |

Lattice parameters (Å, degrees): 4.8137 4.8137 4.8137 60.00 60.00 60.00
Fractional positions:
Er (0.2500, 0.2500, 0.2500)
Er (0.7500, 0.7500, 0.7500)
Cu (0.0000, 0.0000, 0.0000)
Ru (0.5000, 0.5000, 0.5000)